Record 1
Simulated XRD peak list
Compound: ThZn2Ni2Pt
Radiation: λ = 1.5418 Å (Cu Kα)
Structure: a structure optimized by DFT (GGA-PBE)
Peak positions follow from Bragg's law for the DFT cell and can differ from measured ones.

Atomic structure:
```
6
Lattice="4.6884 0.0000 0.0000 0.0000 4.6884 0.0000 0.0000 0.0000 5.3710" Properties=species:S:1:pos:R:3 pbc="T T T"
Th 0.0000 0.0000 0.0000
Zn 0.0000 2.3442 2.6855
Zn 2.3442 0.0000 2.6855
Ni 2.3442 2.3442 1.2561
Ni 2.3442 2.3442 4.1150
Pt 0.0000 0.0000 2.6855
```

The 10 most intense peaks (2θ = 10–90°), in order of falling intensity:
38.6°, rel. 1000
38.4°, rel. 818
18.9°, rel. 788
26.9°, rel. 707
55.6°, rel. 695
55.4°, rel. 279
51.8°, rel. 277
33.4°, rel. 232
82.4°, rel. 225
43.1°, rel. 206

***

Record 2
Simulated XRD peak list
Compound: Ti2Ni6Pt
Radiation: λ = 1.5418 Å (Cu Kα)
Structure: a structure optimized by DFT (GGA-PBE)
Peak positions follow from Bragg's law for the DFT cell and can differ from measured ones.

Atomic structure:
```
9
Lattice="4.8366 0.0000 0.0000 -2.4183 4.1886 0.0000 0.0000 0.0000 5.8296" Properties=species:S:1:pos:R:3 pbc="T T T"
Ti 0.0000 2.7924 0.8743
Ti 2.4183 1.3962 4.9553
Ni 0.0000 1.4528 3.8674
Ni -1.1601 3.4622 3.8674
Ni 1.2582 0.7264 1.9623
Ni 1.1601 3.4622 3.8674
Ni 3.5784 0.7264 1.9623
Ni 2.4183 2.7358 1.9623
Pt 0.0000 0.0000 0.0000
```

The 10 most intense peaks (2θ = 10–90°), in order of falling intensity:
46.1°, rel. 1000
40.4°, rel. 746
21.2°, rel. 706
37.6°, rel. 645
26.2°, rel. 491
53.9°, rel. 437
51.9°, rel. 292
77.8°, rel. 244
48.9°, rel. 218
79.2°, rel. 213

***

Record 3
Simulated XRD peak list
Compound: TiNi3Pt4
Radiation: λ = 1.5418 Å (Cu Kα)
Structure: a structure optimized by DFT (GGA-PBE)
Peak positions follow from Bragg's law for the DFT cell and can differ from measured ones.

Atomic structure:
```
8
Lattice="-1.9367 1.9367 7.3901 1.9367 -1.9367 7.3901 1.9367 1.9367 -7.3901" Properties=species:S:1:pos:R:3 pbc="T T T"
Ti 0.0000 0.0000 0.0000
Ni 0.0000 0.0000 3.7335
Ni 0.0000 0.0000 7.3901
Ni 0.0000 0.0000 11.0468
Pt 1.9367 0.0000 1.8542
Pt 1.9367 0.0000 5.5360
Pt 0.0000 1.9367 1.8542
Pt 0.0000 1.9367 5.5360
```

The 10 most intense peaks (2θ = 10–90°), in order of falling intensity:
41.0°, rel. 1000
46.9°, rel. 340
24.1°, rel. 262
83.1°, rel. 257
32.7°, rel. 246
70.4°, rel. 199
49.3°, rel. 146
53.4°, rel. 132
86.7°, rel. 117
89.0°, rel. 111

***

Record 4
Simulated XRD peak list
Compound: Ti2NiPt
Radiation: λ = 1.5418 Å (Cu Kα)
Structure: a structure optimized by DFT (GGA-PBE)
Peak positions follow from Bragg's law for the DFT cell and can differ from measured ones.

Atomic structure:
```
4
Lattice="3.9231 0.0000 0.0000 0.0000 3.9231 0.0000 0.0000 0.0000 3.7841" Properties=species:S:1:pos:R:3 pbc="T T T"
Ti 0.0000 1.9615 0.0000
Ti 1.9615 0.0000 0.0000
Ni 0.0000 0.0000 1.8921
Pt 1.9615 1.9615 1.8921
```

The 10 most intense peaks (2θ = 10–90°), in order of falling intensity:
40.3°, rel. 1000
46.3°, rel. 333
22.7°, rel. 279
81.7°, rel. 242
32.9°, rel. 224
23.5°, rel. 209
69.0°, rel. 194
32.3°, rel. 194
48.1°, rel. 148
84.3°, rel. 112

***

Record 5
Simulated XRD peak list
Compound: Ti7Ni5Pt
Radiation: λ = 1.5418 Å (Cu Kα)
Structure: a structure optimized by DFT (GGA-PBE)
Peak positions follow from Bragg's law for the DFT cell and can differ from measured ones.

Atomic structure:
```
13
Lattice="-2.4614 4.2978 4.4317 2.4614 -4.2978 4.4317 2.4614 4.2978 -4.4317" Properties=species:S:1:pos:R:3 pbc="T T T"
Ti 0.0000 0.0000 0.0000
Ti 2.4614 1.6356 0.4548
Ti 0.0000 0.0000 3.1373
Ti 0.0000 2.9293 0.1629
Ti 0.0000 5.6663 0.1629
Ti 0.0000 4.2978 2.5869
Ti 0.0000 2.6622 4.8865
Ni 1.2297 2.0876 -1.8548
Ni 3.6930 2.0876 -1.8548
Ni 2.4614 0.0000 2.3340
Ni -1.2316 2.2102 2.5770
Ni 1.2316 2.2102 2.5770
Pt 0.0000 0.0000 5.7362
```

The 10 most intense peaks (2θ = 10–90°), in order of falling intensity:
47.2°, rel. 1000
42.0°, rel. 995
46.1°, rel. 917
42.3°, rel. 845
14.4°, rel. 843
41.8°, rel. 694
20.6°, rel. 591
29.0°, rel. 554
36.3°, rel. 537
41.4°, rel. 501

***

Record 6
Simulated XRD peak list
Compound: Ti11Ni9Pt4
Radiation: λ = 1.5418 Å (Cu Kα)
Structure: a structure optimized by DFT (GGA-PBE)
Peak positions follow from Bragg's law for the DFT cell and can differ from measured ones.

Atomic structure:
```
48
Lattice="3.7328 -6.4884 0.0000 3.7328 6.4884 0.0000 -2.6106 0.0000 14.0305" Properties=species:S:1:pos:R:3 pbc="T T T"
Ti 0.5611 3.2442 7.0152
Ti 1.7749 5.4131 10.5229
Ti -0.1982 1.0779 9.0989
Ti 0.6791 2.9371 12.0989
Ti 1.8951 1.0410 0.0040
Ti 3.0802 3.2055 3.5076
Ti 1.1071 -1.0779 2.0836
Ti 0.5898 -1.0410 7.0193
Ti 2.1560 0.5124 4.7871
Ti 2.8707 2.9371 8.9468
Ti 0.8507 -0.5124 11.8024
Ti 1.8664 -3.2442 0.0000
Ti 4.0043 0.5124 2.2281
Ti 1.9844 -2.9371 5.0837
Ti 2.6990 -0.5124 9.2434
Ti 4.2652 1.0410 7.0112
Ti 3.7479 1.0779 11.9469
Ti 1.7749 -3.2055 10.5229
Ti 2.9599 -1.0410 14.0265
Ti 4.1759 -2.9371 1.9316
Ti 5.0532 -1.0779 4.9316
Ti 3.0802 -5.4131 3.5076
Ni 0.8144 2.8152 4.5379
Ni -1.1893 1.1214 11.5505
Ni 1.5973 1.4572 2.4568
Ni 0.1160 -1.1214 4.5353
Ni 1.8136 1.1040 7.3044
Ni 1.7749 1.5671 10.5229
Ni 0.2920 -1.4572 9.4720
Ni -0.4909 -2.8152 11.5531
Ni 1.7361 1.1040 13.7413
Ni 3.1189 -1.1040 0.2892
Ni 5.3459 2.8152 2.4774
Ni 4.5630 1.4572 4.5585
Ni 3.0802 -1.5671 3.5076
Ni 3.0414 -1.1040 6.7261
Ni 4.7390 1.1214 9.4952
Ni 3.2577 -1.4572 11.5737
Ni 6.0443 -1.1214 2.4799
Ni 4.0406 -2.8152 9.4926
Pt 1.8090 5.4016 7.8869
Pt 1.7407 5.4016 13.1588
Pt 3.0918 3.2615 0.8840
Pt 3.0685 3.2615 6.1312
Pt 1.7865 -3.2615 7.8993
Pt 1.7632 -3.2615 13.1465
Pt 3.1143 -5.4016 0.8717
Pt 3.0460 -5.4016 6.1436
```

The 10 most intense peaks (2θ = 10–90°), in order of falling intensity:
41.8°, rel. 1000
41.9°, rel. 896
42.1°, rel. 865
29.2°, rel. 455
12.6°, rel. 357
43.8°, rel. 253
38.3°, rel. 223
13.9°, rel. 222
60.6°, rel. 211
29.5°, rel. 210

***

Record 7
Simulated XRD peak list
Compound: TiNi2Pt8
Radiation: λ = 1.5418 Å (Cu Kα)
Structure: a structure optimized by DFT (GGA-PBE)
Peak positions follow from Bragg's law for the DFT cell and can differ from measured ones.

Atomic structure:
```
11
Lattice="6.9967 -1.9628 0.0000 6.9967 1.9628 0.0000 -1.7470 0.0000 5.9475" Properties=species:S:1:pos:R:3 pbc="T T T"
Ti 0.0000 0.0000 0.0000
Ni 3.2145 0.0000 2.1903
Ni 9.0320 0.0000 3.7572
Pt 0.5797 0.0000 2.6711
Pt 0.9415 0.0000 5.4526
Pt 3.6564 0.0000 4.8398
Pt 5.8743 0.0000 1.6169
Pt 6.3722 0.0000 4.3305
Pt 8.5901 0.0000 1.1076
Pt 11.3050 0.0000 0.4948
Pt 11.6668 0.0000 3.2764
```

The 10 most intense peaks (2θ = 10–90°), in order of falling intensity:
40.1°, rel. 1000
40.0°, rel. 998
81.4°, rel. 384
46.2°, rel. 336
46.3°, rel. 335
68.3°, rel. 310
47.3°, rel. 310
67.4°, rel. 218
81.2°, rel. 124
83.0°, rel. 122

***

Record 8
Simulated XRD peak list
Compound: Ti5NiPt
Radiation: λ = 1.5418 Å (Cu Kα)
Structure: a structure optimized by DFT (GGA-PBE)
Peak positions follow from Bragg's law for the DFT cell and can differ from measured ones.

Atomic structure:
```
14
Lattice="4.4774 -3.0452 0.0000 4.4774 3.0452 0.0000 -3.8723 0.0000 8.5927" Properties=species:S:1:pos:R:3 pbc="T T T"
Ti 1.5732 2.8282 6.4446
Ti -0.6745 1.4419 6.9980
Ti 1.3567 0.7610 4.2471
Ti 3.8208 1.4419 5.8911
Ti -0.5795 -0.7610 8.5435
Ti 5.6619 0.7610 0.0492
Ti 1.2616 -1.4419 2.7016
Ti 3.7258 -0.7610 4.3456
Ti 5.7569 -1.4419 1.5947
Ti 3.5093 -2.8282 2.1482
Ni 0.0000 0.0000 0.0000
Ni -1.9361 0.0000 4.2964
Pt 3.5093 0.4396 2.1482
Pt 1.5732 -0.4396 6.4446
```

The 10 most intense peaks (2θ = 10–90°), in order of falling intensity:
36.8°, rel. 1000
21.8°, rel. 783
34.2°, rel. 749
18.2°, rel. 635
32.1°, rel. 595
40.8°, rel. 575
24.0°, rel. 561
42.1°, rel. 535
42.3°, rel. 516
40.4°, rel. 504

***

Repeat the fourth record exactly.
Simulated XRD peak list
Compound: Ti2NiPt
Radiation: λ = 1.5418 Å (Cu Kα)
Structure: a structure optimized by DFT (GGA-PBE)
Peak positions follow from Bragg's law for the DFT cell and can differ from measured ones.

Atomic structure:
```
4
Lattice="3.9231 0.0000 0.0000 0.0000 3.9231 0.0000 0.0000 0.0000 3.7841" Properties=species:S:1:pos:R:3 pbc="T T T"
Ti 0.0000 1.9615 0.0000
Ti 1.9615 0.0000 0.0000
Ni 0.0000 0.0000 1.8921
Pt 1.9615 1.9615 1.8921
```

The 10 most intense peaks (2θ = 10–90°), in order of falling intensity:
40.3°, rel. 1000
46.3°, rel. 333
22.7°, rel. 279
81.7°, rel. 242
32.9°, rel. 224
23.5°, rel. 209
69.0°, rel. 194
32.3°, rel. 194
48.1°, rel. 148
84.3°, rel. 112

***

Question: What is the formula in the second record?
Answer: Ti2Ni6Pt